# 1
For Er4Ti6O19, a cell relaxed with GGA-PBE gives the simulated PXRD pattern in this record (Cu Kα (weighted mean of Kα1 and Kα2)).

Main lines, low angle first (2θ = 10–90°):
d [Å]  intensity
6.332  12
3.656  100
2.832  52
2.585  30
2.393  19
2.111  41
1.828  13
1.756  27
1.635  35
1.492  14
1.219  14
1.102  9

Atomic structure:
a b c (Å): 7.7548 7.7548 7.7548
angles (deg): 109.47 109.47 109.47
Element x y z (fractional)
Er1 0.0000 0.0000 0.7046
Er2 0.0000 0.7046 0.0000
Er3 0.2954 0.2954 0.2954
Er4 0.7046 0.0000 0.0000
Ti1 0.1616 0.6616 0.5000
Ti2 0.3384 0.5000 0.8384
Ti3 0.5000 0.1616 0.6616
Ti4 0.5000 0.8384 0.3384
Ti5 0.6616 0.5000 0.1616
Ti6 0.8384 0.3384 0.5000
O1 0.0000 0.0000 0.0000
O2 0.0000 0.3510 0.3510
O3 0.0000 0.6490 0.6490
O4 0.0363 0.2814 0.6738
O5 0.2452 0.9637 0.6375
O6 0.2814 0.6738 0.0363
O7 0.3262 0.6077 0.3625
O8 0.3510 0.0000 0.3510
O9 0.3510 0.3510 0.0000
O10 0.3625 0.3262 0.6077
O11 0.3923 0.7186 0.7548
O12 0.6077 0.3625 0.3262
O13 0.6375 0.2452 0.9637
O14 0.6490 0.0000 0.6490
O15 0.6490 0.6490 0.0000
O16 0.6738 0.0363 0.2814
O17 0.7186 0.7548 0.3923
O18 0.7548 0.3923 0.7186
O19 0.9637 0.6375 0.2452


# 2
For Na4U3GaN8, a cell relaxed with GGA-PBE gives the simulated PXRD pattern in this record (Cu Kα (weighted mean of Kα1 and Kα2)).

Main lines, low angle first (2θ = 10–90°):
d [Å]  intensity
5.681  100
3.000  20
2.877  34
2.840  23
2.819  21
2.784  41
2.513  25
2.392  43
2.241  15
1.855  13
1.738  15
1.728  16

Atomic structure:
a b c (Å): 6.9203 6.9203 6.8475
angles (deg): 119.26 119.26 57.79
Element x y z (fractional)
Na1 0.0000 0.0000 0.0000
Na2 0.0000 0.5000 0.0000
Na3 0.5000 0.0000 0.0000
Na4 0.5000 0.5000 0.0000
U1 0.0000 0.0000 0.5000
U2 0.0000 0.5000 0.5000
U3 0.5000 0.0000 0.5000
Ga1 0.5000 0.5000 0.5000
N1 0.2229 0.2229 0.6837
N2 0.2260 0.7199 0.6792
N3 0.2461 0.2461 0.2976
N4 0.2801 0.7740 0.3208
N5 0.7199 0.2260 0.6792
N6 0.7539 0.7539 0.7024
N7 0.7740 0.2801 0.3208
N8 0.7771 0.7771 0.3163


# 3
For BaTb4ErS8, a cell relaxed with GGA-PBE gives the simulated PXRD pattern in this record (Cu Kα (weighted mean of Kα1 and Kα2)).

Main lines, low angle first (2θ = 10–90°):
d [Å]  intensity
6.740  13
4.127  25
3.519  100
3.373  12
2.918  21
2.247  36
2.242  11
2.067  29
2.059  29
1.782  11
1.521  15
1.192  9

Atomic structure:
a b c (Å): 8.2380 8.2380 8.2380
angles (deg): 60.24 60.24 60.24
Element x y z (fractional)
Ba1 0.0000 0.0000 0.0000
Tb1 0.1190 0.6261 0.6261
Tb2 0.2492 0.2492 0.2492
Tb3 0.6261 0.1190 0.6261
Tb4 0.6261 0.6261 0.1190
Er1 0.6262 0.6262 0.6262
S1 0.3814 0.3814 0.3814
S2 0.3837 0.3837 0.8515
S3 0.3837 0.8515 0.3837
S4 0.4287 0.8543 0.8543
S5 0.8515 0.3837 0.3837
S6 0.8543 0.4287 0.8543
S7 0.8543 0.8543 0.4287
S8 0.8567 0.8567 0.8567


# 4
For CaB3Sb, a cell relaxed with GGA-PBE gives the simulated PXRD pattern in this record (Cu Kα (weighted mean of Kα1 and Kα2)).

Main lines, low angle first (2θ = 10–90°):
d [Å]  intensity
4.534  37
3.206  100
2.617  5
2.267  27
2.027  17
1.851  41
1.603  17
1.511  8
1.434  17
1.309  6
1.212  19
1.100  5

Atomic structure:
a b c (Å): 4.5336 4.5336 4.5336
angles (deg): 90.00 90.00 90.00
Element x y z (fractional)
Ca1 0.0000 0.0000 0.0000
B1 0.0000 0.5000 0.5000
B2 0.5000 0.0000 0.5000
B3 0.5000 0.5000 0.0000
Sb1 0.5000 0.5000 0.5000


# 5
For Tm2ThHg8, a cell relaxed with GGA-PBE gives the simulated PXRD pattern in this record (Cu Kα (weighted mean of Kα1 and Kα2)).

Main lines, low angle first (2θ = 10–90°):
d [Å]  intensity
2.720  28
2.573  100
2.549  33
2.522  14
2.360  18
1.793  11
1.732  14
1.588  10
1.476  19
1.359  13
1.348  12
1.343  7

Atomic structure:
a b c (Å): 8.4495 8.4495 8.4495
angles (deg): 144.88 125.87 66.18
Element x y z (fractional)
Tm1 0.1978 0.1978 0.0000
Tm2 0.8022 0.8022 0.0000
Th1 0.5000 0.5000 0.0000
Hg1 0.0534 0.3502 0.7032
Hg2 0.2008 0.0000 0.2008
Hg3 0.3448 0.8448 0.5000
Hg4 0.3530 0.6498 0.7032
Hg5 0.6470 0.3502 0.2968
Hg6 0.6552 0.1552 0.5000
Hg7 0.7992 0.0000 0.7992
Hg8 0.9466 0.6498 0.2968


# 6
For SrMoPd, a cell relaxed with GGA-PBE gives the simulated PXRD pattern in this record (Cu Kα (weighted mean of Kα1 and Kα2)).

Main lines, low angle first (2θ = 10–90°):
d [Å]  intensity
3.118  23
3.065  53
2.863  55
2.772  28
2.691  50
2.614  22
2.433  100
2.339  97
2.155  46
2.119  27
1.964  26
1.810  33

Atomic structure:
a b c (Å): 4.3209 3.6204 9.3777
angles (deg): 90.00 93.99 90.00
Element x y z (fractional)
Sr1 0.2314 0.2500 0.3346
Sr2 0.7686 0.7500 0.6654
Mo1 0.1998 0.7500 0.0027
Mo2 0.8002 0.2500 0.9973
Pd1 0.2834 0.2500 0.7917
Pd2 0.7166 0.7500 0.2083


# 7
For La4Nd2HoEr, a cell relaxed with GGA-PBE gives the simulated PXRD pattern in this record (Cu Kα (weighted mean of Kα1 and Kα2)).

Main lines, low angle first (2θ = 10–90°):
d [Å]  intensity
2.995  100
2.626  17
2.607  17
2.550  16
1.850  12
1.830  12
1.823  12
1.578  15
1.570  15
1.545  14
1.498  12
1.199  6

Atomic structure:
a b c (Å): 5.2144 5.2522 10.2017
angles (deg): 90.00 90.06 90.00
Element x y z (fractional)
La1 0.0002 0.0000 0.2493
La2 0.9998 0.0000 0.7507
La3 0.4993 0.5000 0.7499
La4 0.5007 0.5000 0.2501
Nd1 0.0000 0.5000 0.0000
Nd2 0.5000 0.0000 0.5000
Ho1 0.0000 0.5000 0.5000
Er1 0.5000 0.0000 0.0000


# 8
For Pr2CuSn3Rh4, a cell relaxed with GGA-PBE gives the simulated PXRD pattern in this record (Cu Kα (weighted mean of Kα1 and Kα2)).

Main lines, low angle first (2θ = 10–90°):
d [Å]  intensity
3.092  15
2.813  68
2.696  100
2.186  68
2.057  29
1.969  33
1.726  32
1.579  12
1.546  23
1.463  26
1.341  23
1.166  17

Atomic structure:
a b c (Å): 4.3722 4.3722 11.0237
angles (deg): 90.00 90.00 90.00
Element x y z (fractional)
Pr1 0.0000 0.5000 0.2428
Pr2 0.5000 0.0000 0.7572
Cu1 0.5000 0.5000 0.0000
Sn1 0.0000 0.0000 0.0000
Sn2 0.0000 0.5000 0.6315
Sn3 0.5000 0.0000 0.3685
Rh1 0.0000 0.0000 0.5000
Rh2 0.0000 0.5000 0.8683
Rh3 0.5000 0.0000 0.1317
Rh4 0.5000 0.5000 0.5000


# 9
For SmSi2NiPd, a cell relaxed with GGA-PBE gives the simulated PXRD pattern in this record (Cu Kα (weighted mean of Kα1 and Kα2)).

Main lines, low angle first (2θ = 10–90°):
d [Å]  intensity
3.798  37
2.562  38
2.505  100
2.454  16
2.060  38
1.772  13
1.605  18
1.578  16
1.456  12
1.427  16
1.343  10
1.259  22

Atomic structure:
a b c (Å): 5.7080 5.7080 5.7080
angles (deg): 137.70 137.70 61.37
Element x y z (fractional)
Sm1 0.0000 0.0000 0.0000
Si1 0.3775 0.3775 0.0000
Si2 0.6225 0.6225 0.0000
Ni1 0.2500 0.7500 0.5000
Pd1 0.7500 0.2500 0.5000


# 10
For Pr4Zn3Cu5, a cell relaxed with GGA-PBE gives the simulated PXRD pattern in this record (Cu Kα (weighted mean of Kα1 and Kα2)).

Main lines, low angle first (2θ = 10–90°):
d [Å]  intensity
3.321  18
3.174  42
2.914  58
2.869  40
2.564  100
2.412  21
2.370  40
2.250  51
2.027  24
1.804  17
1.770  20
1.692  22

Atomic structure:
a b c (Å): 7.5996 7.5996 10.3484
angles (deg): 125.81 125.81 34.44
Element x y z (fractional)
Pr1 0.0133 0.0133 0.3041
Pr2 0.2678 0.2678 0.7562
Pr3 0.7322 0.7322 0.2438
Pr4 0.9867 0.9867 0.6959
Zn1 0.0000 0.0000 0.0000
Zn2 0.2941 0.2941 0.0806
Zn3 0.7059 0.7059 0.9194
Cu1 0.2831 0.2831 0.4834
Cu2 0.4017 0.4017 0.3867
Cu3 0.5000 0.5000 0.0000
Cu4 0.5983 0.5983 0.6133
Cu5 0.7169 0.7169 0.5166


# 11
For Li2CePb4, a cell relaxed with GGA-PBE gives the simulated PXRD pattern in this record (Cu Kα (weighted mean of Kα1 and Kα2)).

Main lines, low angle first (2θ = 10–90°):
d [Å]  intensity
3.675  28
3.584  65
3.221  22
2.566  100
2.534  56
2.086  25
1.792  20
1.761  16
1.603  14
1.469  39
1.360  13
1.136  12

Atomic structure:
a b c (Å): 5.0686 5.0686 7.3497
angles (deg): 90.00 90.00 90.00
Element x y z (fractional)
Li1 0.0000 0.0000 0.0000
Li2 0.5000 0.5000 0.5000
Ce1 0.0000 0.0000 0.5000
Pb1 0.0000 0.5000 0.2162
Pb2 0.0000 0.5000 0.7838
Pb3 0.5000 0.0000 0.2162
Pb4 0.5000 0.0000 0.7838


# 12
For CaYCl6, a cell relaxed with GGA-PBE gives the simulated PXRD pattern in this record (Cu Kα (weighted mean of Kα1 and Kα2)).

Main lines, low angle first (2θ = 10–90°):
d [Å]  intensity
5.073  100
5.041  91
4.745  53
3.467  43
3.101  93
2.926  44
2.891  63
2.277  34
2.232  36
1.982  33
1.973  32
1.946  35

Atomic structure:
a b c (Å): 6.7649 6.8289 6.9937
angles (deg): 66.92 62.36 61.11
Element x y z (fractional)
Ca1 0.0000 0.0000 0.0000
Y1 0.5000 0.5000 0.5000
Cl1 0.0781 0.7509 0.7307
Cl2 0.3026 0.5906 0.2012
Cl3 0.3818 0.1327 0.7129
Cl4 0.6182 0.8673 0.2871
Cl5 0.6974 0.4094 0.7988
Cl6 0.9219 0.2491 0.2693


# 13
For Al5GaFe10, a cell relaxed with GGA-PBE gives the simulated PXRD pattern in this record (Cu Kα (weighted mean of Kα1 and Kα2)).

Main lines, low angle first (2θ = 10–90°):
d [Å]  intensity
3.098  26
2.338  20
2.312  36
2.249  50
2.087  57
2.068  78
2.023  100
1.902  72
1.287  21
1.280  20
1.125  18
1.122  17

Atomic structure:
a b c (Å): 6.9460 6.9460 6.9460
angles (deg): 96.51 96.51 140.66
Element x y z (fractional)
Al1 0.0000 0.0000 0.0000
Al2 0.0778 0.5778 0.1556
Al3 0.4222 0.9222 0.8444
Al4 0.5778 0.4222 0.5000
Al5 0.9222 0.0778 0.5000
Ga1 0.5000 0.5000 0.0000
Fe1 0.0000 0.5000 0.5000
Fe2 0.0150 0.3216 0.8356
Fe3 0.1793 0.0150 0.6934
Fe4 0.3216 0.4859 0.3066
Fe5 0.4859 0.1793 0.1644
Fe6 0.5000 0.0000 0.5000
Fe7 0.5141 0.6784 0.6934
Fe8 0.6784 0.9850 0.1644
Fe9 0.8207 0.5141 0.8356
Fe10 0.9850 0.8207 0.3066